[1]
Theoretical X-ray diffraction stick pattern
Compound: La6Y7
Radiation: Cu Kα (weighted mean of Kα1 and Kα2)
Structure: a cell relaxed with GGA-PBE
Neutral-atom scattering factors, no anomalous dispersion.

Atomic structure:
Cell: 6.8178 6.8178 34.9923 Å, 90.00 90.00 120.00°
Space group R-3m (No. 166, hexagonal axes)
Asymmetric unit:
La1 0.0000 0.0000 0.0520 [6 per cell]
La2 0.0000 0.0000 0.1553 [6 per cell]
La3 0.0000 0.0000 0.3333 [6 per cell]
Y1 0.0000 0.0000 0.5000 [3 per cell]
Y2 0.0018 0.5009 0.9140 [18 per cell]

Peak list (10 most intense, 2θ = 15–90°, low angle first)
two_theta  I (rel.)  h k l
26.1  57  1 1 0
29.7  37  1 0 10
30.4  100  1 1 6
30.7  26  0 0 12
32.0  47  0 1 11
32.9  28  2 0 5
48.4  19  2 1 10
49.9  18  1 2 11
53.8  30  2 2 0
54.3  28  1 1 18

[2]
Theoretical X-ray diffraction stick pattern
Compound: Na3InSn
Radiation: Cu Kα (weighted mean of Kα1 and Kα2)
Structure: a cell relaxed with GGA-PBE
Neutral-atom scattering factors, no anomalous dispersion.

Atomic structure:
Cell: 12.5169 10.7119 9.2945 Å, 90.00 118.63 90.00°
Space group C2/c (No. 15)
Asymmetric unit:
Na1 0.0905 0.1247 0.1452 [8 per cell]
Na2 0.1931 0.3738 0.0483 [8 per cell]
Na3 0.2043 0.1235 0.5538 [8 per cell]
In1 0.1062 0.3755 0.6558 [8 per cell]
Sn1 0.0000 0.1384 0.7500 [4 per cell]
Sn2 0.0000 0.3849 0.2500 [4 per cell]

Peak list (10 most intense, 2θ = 15–90°, low angle first)
two_theta  I (rel.)  h k l
16.1  17  2 0 0
18.3  9  1 1 1
21.8  11  0 0 2
22.1  19  2 2 -1
33.0  23  2 0 2
33.5  100  2 2 -3
47.7  14  2 4 2
59.2  7  0 2 5
59.3  7  6 2 1
59.8  14  2 6 -3

[3]
Theoretical X-ray diffraction stick pattern
Compound: DyTmB12
Radiation: Cu Kα (weighted mean of Kα1 and Kα2)
Structure: a cell relaxed with GGA-PBE
Neutral-atom scattering factors, no anomalous dispersion.

Atomic structure:
Cell: 4.0872 4.0872 8.1799 Å, 90.00 90.00 90.00°
Space group P4/mmm (No. 123)
Asymmetric unit:
Dy1 0.0000 0.0000 0.0000 [1 per cell]
Tm1 0.0000 0.0000 0.5000 [1 per cell]
B1 0.1987 0.5000 0.2507 [8 per cell]
B2 0.5000 0.5000 0.0995 [2 per cell]
B3 0.5000 0.5000 0.4010 [2 per cell]

Peak list (10 most intense, 2θ = 15–90°, low angle first)
two_theta  I (rel.)  h k l
21.7  71  1 0 0
30.9  100  1 1 0
38.1  42  1 1 2
44.3  21  2 0 0
49.9  50  2 1 0
55.0  29  2 1 2
68.9  28  2 2 2
73.2  20  3 1 0
77.4  13  3 1 2
89.8  19  3 2 2

[4]
Theoretical X-ray diffraction stick pattern
Compound: LiAl4Te7
Radiation: Cu Kα (weighted mean of Kα1 and Kα2)
Structure: a cell relaxed with GGA-PBE
Neutral-atom scattering factors, no anomalous dispersion.

Atomic structure:
Cell: 16.6907 7.3694 7.0202 Å, 90.00 90.00 90.00°
Space group Pmn2_1 (No. 31)
Asymmetric unit:
Li1 0.0000 0.1676 0.0000 [2 per cell]
Al1 0.1249 0.6704 0.9748 [4 per cell]
Al2 0.2471 0.8233 0.4568 [4 per cell]
Te1 0.0000 0.8365 0.8237 [2 per cell]
Te2 0.1145 0.6612 0.3487 [4 per cell]
Te3 0.1253 0.3419 0.8247 [4 per cell]
Te4 0.2405 0.1707 0.3422 [4 per cell]

Peak list (10 most intense, 2θ = 15–90°, low angle first)
two_theta  I (rel.)  h k l
24.5  37  4 1 0
25.4  52  0 0 2
27.3  57  0 2 1
27.7  100  4 1 1
35.6  22  4 1 2
42.7  33  4 3 0
45.9  19  0 2 3
46.1  34  4 1 3
50.3  34  4 3 2
52.0  21  0 0 4

[5]
Theoretical X-ray diffraction stick pattern
Compound: CsLiZrF6
Radiation: Cu Kα (weighted mean of Kα1 and Kα2)
Structure: a cell relaxed with GGA-PBE
Neutral-atom scattering factors, no anomalous dispersion.

Atomic structure:
Cell: 5.5844 5.5844 6.4781 Å, 90.00 90.00 120.00°
Space group P312 (No. 149)
Asymmetric unit:
Cs1 0.0000 0.0000 0.0000 [1 per cell]
Li1 0.6667 0.3333 0.5000 [1 per cell]
Zr1 0.3333 0.6667 0.5000 [1 per cell]
F1 0.0071 0.3980 0.6793 [6 per cell]

Peak list (10 most intense, 2θ = 15–90°, low angle first)
two_theta  I (rel.)  h k l
18.3  19  1 0 0
22.9  100  1 0 1
32.1  15  1 1 0
33.3  13  1 0 2
39.8  16  2 0 1
42.8  32  2 -1 2
46.0  11  1 0 3
52.0  20  3 -1 1
57.2  19  3 0 0
67.1  11  2 2 0

[6]
Theoretical X-ray diffraction stick pattern
Compound: TlPd
Radiation: Cu Kα (weighted mean of Kα1 and Kα2)
Structure: a cell relaxed with GGA-PBE
Neutral-atom scattering factors, no anomalous dispersion.

Atomic structure:
Cell: 5.5690 5.5690 5.5710 Å, 90.00 90.00 90.00°
Space group P4_2/mnm (No. 136)
Asymmetric unit:
Tl1 0.2034 0.2034 0.0000 [4 per cell]
Pd1 0.1938 0.1938 0.5000 [4 per cell]

Peak list (10 most intense, 2θ = 15–90°, low angle first)
two_theta  I (rel.)  h k l
27.7  20  1 1 1
32.1  100  0 0 2
36.1  40  2 1 0
46.1  56  2 0 2
49.1  33  2 1 2
54.7  8  1 1 3
57.3  14  2 2 2
69.6  20  4 1 0
76.5  12  2 0 4
78.7  30  4 1 2

[7]
Theoretical X-ray diffraction stick pattern
Compound: GaGe2P
Radiation: Cu Kα (weighted mean of Kα1 and Kα2)
Structure: a cell relaxed with GGA-PBE
Neutral-atom scattering factors, no anomalous dispersion.

Atomic structure:
Cell: 5.6632 5.6632 11.2127 Å, 90.00 90.00 90.00°
Space group I-42d (No. 122)
Asymmetric unit:
Ga1 0.0000 0.0000 0.0000 [4 per cell]
Ge1 0.2407 0.2500 0.6250 [8 per cell]
P1 0.0000 0.0000 0.5000 [4 per cell]

Peak list (10 most intense, 2θ = 15–90°, low angle first)
two_theta  I (rel.)  h k l
27.4  100  1 1 2
45.3  24  2 2 0
45.5  47  2 0 4
53.7  29  3 1 2
54.2  14  1 1 6
66.0  7  4 0 0
72.8  6  3 3 2
73.2  11  3 1 6
83.8  15  4 2 4
84.4  8  2 2 8

[8]
Theoretical X-ray diffraction stick pattern
Compound: Dy3TlTe
Radiation: Cu Kα (weighted mean of Kα1 and Kα2)
Structure: a cell relaxed with GGA-PBE
Neutral-atom scattering factors, no anomalous dispersion.

Atomic structure:
Cell: 12.0455 3.9386 12.6356 Å, 90.00 90.00 90.00°
Space group Pnma (No. 62)
Asymmetric unit:
Dy1 0.0624 0.2500 0.1318 [4 per cell]
Dy2 0.1356 0.7500 0.5507 [4 per cell]
Dy3 0.2202 0.2500 0.7800 [4 per cell]
Tl1 0.0195 0.7500 0.3223 [4 per cell]
Te1 0.1718 0.7500 0.9707 [4 per cell]

Peak list (10 most intense, 2θ = 15–90°, low angle first)
two_theta  I (rel.)  h k l
27.7  64  1 1 2
30.6  100  4 0 1
31.1  84  0 1 3
32.0  60  2 0 4
32.9  49  4 0 2
34.9  42  3 1 2
37.2  31  1 1 4
38.3  47  4 1 1
38.6  34  2 0 5
46.1  42  0 2 0